Record 1
# UF5
Calculated powder diffraction line list, Cu Kα X-rays. Input: a crystal structure in the Materials Project, relaxed with PBE.
Lines closer than 0.1° are merged.

Largest 8 diffraction maxima, low angle first, 10 to 90 degrees two-theta:
2theta, I/Imax
18.23, 93.9
23.49, 100.0
25.90, 35.1
35.25, 44.3
41.50, 31.0
44.06, 20.4
51.99, 23.6
58.82, 21.8

Structural model:
```
data_UF5
_cell_length_a 6.8804
_cell_length_b 6.8804
_cell_length_c 4.5350
_cell_angle_alpha 90.00
_cell_angle_beta 90.00
_cell_angle_gamma 90.00
_space_group_name_H-M_alt 'I 4/m'
_space_group_IT_number 87
_space_group_name_Hall '-I 4'
loop_
_atom_site_label
_atom_site_type_symbol
_atom_site_fract_x
_atom_site_fract_y
_atom_site_fract_z
_atom_site_occupancy
U1 U 0.0000 0.0000 0.0000 1
F1 F 0.0000 0.0000 0.5000 1
F2 F 0.1043 0.7242 0.0000 1
```

=====

Record 2
# BaPrO3
Calculated powder diffraction line list, Cu Kα X-rays. Input: a crystal structure in the Materials Project, relaxed with PBE.
Lines closer than 0.1° are merged.

Largest 8 diffraction maxima, low angle first, 10 to 90 degrees two-theta:
2theta, I/Imax
27.48, 100.0
39.25, 30.4
48.58, 42.5
56.72, 19.8
64.16, 18.7
71.15, 6.5
77.86, 21.8
84.41, 3.1

Structural model:
```
data_BaPrO3
_cell_length_a 4.5905
_cell_length_b 4.5905
_cell_length_c 4.5905
_cell_angle_alpha 90.00
_cell_angle_beta 90.00
_cell_angle_gamma 90.00
_space_group_name_H-M_alt 'P m -3 m'
_space_group_IT_number 221
_space_group_name_Hall '-P 4 2 3'
loop_
_atom_site_label
_atom_site_type_symbol
_atom_site_fract_x
_atom_site_fract_y
_atom_site_fract_z
_atom_site_occupancy
Ba1 Ba 0.0000 0.0000 0.0000 1
Pr1 Pr 0.5000 0.5000 0.5000 1
O1 O 0.0000 0.5000 0.5000 1
```

=====

Record 3
# Ce2TiO5
Calculated powder diffraction line list, Cu Kα X-rays. Input: a crystal structure in the Materials Project, relaxed with PBE.
Lines closer than 0.1° are merged.

Largest 8 diffraction maxima, low angle first, 10 to 90 degrees two-theta:
2theta, I/Imax
11.23, 13.1
24.57, 12.6
28.51, 100.0
32.93, 20.2
47.26, 13.6
47.51, 22.0
53.97, 10.6
56.12, 16.1

Structural model:
```
data_Ce2TiO5
_cell_length_a 10.7734
_cell_length_b 3.8467
_cell_length_c 11.5425
_cell_angle_alpha 90.00
_cell_angle_beta 90.00
_cell_angle_gamma 90.00
_space_group_name_H-M_alt 'P n m a'
_space_group_IT_number 62
loop_
_space_group_symop_operation_xyz
'x,y,z'
'-x,-y,-z'
'-x+1/2,-y,z+1/2'
'x+1/2,y,-z+1/2'
'x+1/2,-y+1/2,-z+1/2'
'-x+1/2,y+1/2,z+1/2'
'-x,y+1/2,-z'
'x,-y+1/2,z'
loop_
_atom_site_label
_atom_site_type_symbol
_atom_site_fract_x
_atom_site_fract_y
_atom_site_fract_z
_atom_site_occupancy
Ce1 Ce 0.1078 0.2500 0.2219 1
Ce2 Ce 0.1376 0.2500 0.5576 1
Ti1 Ti 0.1814 0.2500 0.8784 1
O1 O 0.0084 0.7500 0.6025 1
O2 O 0.0173 0.2500 0.8388 1
O3 O 0.2239 0.2500 0.0424 1
O4 O 0.2355 0.7500 0.8824 1
O5 O 0.2369 0.7500 0.2282 1
```

=====

Record 4
# SrEuZrGeO6
Calculated powder diffraction line list, Cu Kα X-rays. Input: a crystal structure in the Materials Project, relaxed with PBE.
Lines closer than 0.1° are merged.

Largest 8 diffraction maxima, low angle first, 10 to 90 degrees two-theta:
2theta, I/Imax
19.17, 6.5
31.55, 100.0
38.90, 7.6
45.22, 32.3
56.18, 39.1
65.88, 19.4
74.88, 17.2
83.51, 6.5

Structural model:
```
data_SrEuZrGeO6
_cell_length_a 8.0204
_cell_length_b 8.0204
_cell_length_c 8.0204
_cell_angle_alpha 90.00
_cell_angle_beta 90.00
_cell_angle_gamma 90.00
_space_group_name_H-M_alt 'F -4 3 m'
_space_group_IT_number 216
_space_group_name_Hall 'F -4 2 3'
loop_
_atom_site_label
_atom_site_type_symbol
_atom_site_fract_x
_atom_site_fract_y
_atom_site_fract_z
_atom_site_occupancy
Sr1 Sr 0.0000 0.0000 0.0000 1
Eu1 Eu 0.0000 0.0000 0.5000 1
Zr1 Zr 0.2500 0.2500 0.7500 1
Ge1 Ge 0.2500 0.2500 0.2500 1
O1 O 0.0112 0.2500 0.2500 1
```